Diffraction record for LaTb7Pm2. The powder XRD pattern is simulated, not measured: it uses a PBE-relaxed structure and Cu Kα (λ = 1.5418 Å).
No peak broadening, texture or thermal motion is included.

Main lines, by intensity (10 to 80 degrees two-theta):
Position (°2θ), d_spacing, I_rel
31.04, 2.881, 100
30.40, 2.940, 87
32.40, 2.763, 46
32.98, 2.716, 42
46.91, 1.937, 31
61.38, 1.511, 29
56.94, 1.617, 18
58.08, 1.588, 18
33.99, 2.637, 16
56.56, 1.627, 15

Cell and atoms:
abc: 9.5636 9.5636 9.5636
angles: 146.41 136.45 56.10
Positions (direct):
1 La 0.0000 0.0000 0.0000
2 Tb 0.1436 0.3918 0.7518
3 Tb 0.2008 0.2008 0.0000
4 Tb 0.3600 0.6082 0.7518
5 Tb 0.5000 0.0000 0.5000
6 Tb 0.6400 0.3918 0.2482
7 Tb 0.7992 0.7992 0.0000
8 Tb 0.8564 0.6082 0.2482
9 Pm 0.3009 0.8009 0.5000
10 Pm 0.6991 0.1991 0.5000